1.
Simulated XRD peak list of Ta4RuRh3 for λ = 1.5418 Å (Cu Kα), from DFT lattice parameters and positions (PBE).
Kinematic intensities with the Lorentz-polarization factor, no thermal factor.

Top 6 peaks for 2θ = 10–80°, in order of rising 2θ:
| two_theta | d_spacing | I/Imax |
| --- | --- | --- |
| 39.06 | 2.306 | 100.0 |
| 44.02 | 2.057 | 35.7 |
| 48.12 | 1.891 | 13.7 |
| 64.01 | 1.455 | 11.7 |
| 67.23 | 1.392 | 15.1 |
| 77.60 | 1.230 | 26.9 |

Structural model:
a b c (Å): 15.670 4.114 4.115
angles (deg): 90.00 105.13 90.00
Space group C2/m (No. 12)
Inequivalent atoms, fractional coordinates:
Ta (0.123, 0.000, 0.123) x4
Ta (0.123, 0.500, 0.623) x4
Ru (0.000, 0.000, 0.500) x2
Rh (0.000, 0.500, 0.000) x2
Rh (0.249, 0.500, 0.249) x4

---

2.
Simulated XRD peak list of Ta3RuRh2 for λ = 1.5418 Å (Cu Kα), from DFT lattice parameters and positions (PBE).
Kinematic intensities with the Lorentz-polarization factor, no thermal factor.

Top 6 peaks for 2θ = 10–80°, in order of rising 2θ:
| two_theta | d_spacing | I/Imax |
| --- | --- | --- |
| 39.08 | 2.305 | 100.0 |
| 43.51 | 2.080 | 18.4 |
| 43.79 | 2.067 | 18.3 |
| 48.86 | 1.864 | 13.0 |
| 76.89 | 1.240 | 13.4 |
| 77.30 | 1.234 | 13.6 |

Structural model:
a b c (Å): 4.134 7.456 12.481
angles (deg): 90.00 90.00 90.00
Space group Imma (No. 74)
Inequivalent atoms, fractional coordinates:
Ta (0.000, 0.000, 0.000) x4
Ta (0.000, 0.009, 0.332) x8
Ru (0.000, 0.250, 0.162) x4
Rh (0.000, 0.250, 0.507) x4
Rh (0.000, 0.250, 0.831) x4

---

3.
Simulated XRD peak list of Ta4RuRh6 for λ = 1.5418 Å (Cu Kα), from DFT lattice parameters and positions (PBE).
Kinematic intensities with the Lorentz-polarization factor, no thermal factor.

Top 6 peaks for 2θ = 10–80°, in order of rising 2θ:
| two_theta | d_spacing | I/Imax |
| --- | --- | --- |
| 29.37 | 3.042 | 29.4 |
| 33.20 | 2.699 | 22.7 |
| 39.86 | 2.262 | 100.0 |
| 40.06 | 2.251 | 35.4 |
| 42.15 | 2.144 | 44.1 |
| 45.34 | 2.000 | 38.5 |

Structural model:
a b c (Å): 8.428 17.144 5.118
angles (deg): 90.00 90.00 90.00
Space group Ccce (No. 68, origin choice 2)
Inequivalent atoms, fractional coordinates:
Ta (0.163, 0.128, 0.161) x16
Ru (0.000, 0.250, 0.250) x4
Rh (0.000, 0.086, 0.750) x8
Rh (0.159, 0.250, 0.750) x8
Rh (0.250, 0.000, 0.440) x8

---

4.
Simulated XRD peak list of Ta5Ru6Rh for λ = 1.5418 Å (Cu Kα), from DFT lattice parameters and positions (PBE).
Kinematic intensities with the Lorentz-polarization factor, no thermal factor.

Top 6 peaks for 2θ = 10–80°, in order of rising 2θ:
| two_theta | d_spacing | I/Imax |
| --- | --- | --- |
| 39.60 | 2.276 | 100.0 |
| 42.33 | 2.135 | 22.9 |
| 42.46 | 2.129 | 16.8 |
| 61.51 | 1.508 | 11.2 |
| 75.58 | 1.258 | 14.8 |
| 75.75 | 1.256 | 12.7 |

Structural model:
a b c (Å): 4.270 6.937 12.774
angles (deg): 90.00 90.00 90.00
Space group Immm (No. 71)
Inequivalent atoms, fractional coordinates:
Ta (0.000, 0.000, 0.000) x2
Ta (0.000, 0.000, 0.360) x4
Ta (0.000, 0.500, 0.318) x4
Ru (0.000, 0.232, 0.169) x8
Ru (0.000, 0.282, 0.500) x4
Rh (0.000, 0.500, 0.000) x2